[1]
Structure and calculated X-ray diffraction stick pattern of Rb2Ti4H3F21 (a DFT-relaxed cell (PBE, the Materials Project); Cu Kα (weighted mean of Kα1 and Kα2)).
No peak broadening, texture or thermal motion is included.

Largest 12 diffraction maxima, by angle, 10° ≤ 2θ ≤ 90°:
Position (°2θ), d (Å), I (rel.)
11.73, 7.547, 23
18.73, 4.739, 49
20.85, 4.260, 43
23.12, 3.847, 17
23.58, 3.773, 100
24.23, 3.673, 27
24.38, 3.651, 39
24.49, 3.635, 22
26.14, 3.409, 29
26.24, 3.396, 19
42.04, 2.149, 31
44.19, 2.050, 24

Structure:
```
data_Rb2Ti4H3F21
_chemical_formula_sum 'Rb4 Ti8 H6 F42'
_symmetry_space_group_name_H-M 'P 1'
_symmetry_Int_Tables_number 1
_symmetry_space_group_name_Hall 'P 1'
_cell_length_a 10.5544
_cell_length_b 10.5805
_cell_length_c 10.9298
_cell_angle_alpha 89.44
_cell_angle_beta 66.20
_cell_angle_gamma 64.24
loop_
_atom_site_label
_atom_site_type_symbol
_atom_site_fract_x
_atom_site_fract_y
_atom_site_fract_z
Rb1 Rb 0.0943 0.1588 0.3564
Rb2 Rb 0.3148 0.0733 0.8904
Rb3 Rb 0.6852 0.9267 0.1096
Rb4 Rb 0.9057 0.8412 0.6436
Ti1 Ti 0.2047 0.4011 0.6059
Ti2 Ti 0.2227 0.6881 0.8254
Ti3 Ti 0.3277 0.5733 0.2813
Ti4 Ti 0.3466 0.8564 0.5030
Ti5 Ti 0.6534 0.1436 0.4970
Ti6 Ti 0.6723 0.4267 0.7187
Ti7 Ti 0.7773 0.3119 0.1746
Ti8 Ti 0.7953 0.5989 0.3941
H1 H 0.1983 0.4493 0.9986
H2 H 0.3467 0.8136 0.1238
H3 H 0.3579 0.2665 0.1573
H4 H 0.6421 0.7335 0.8427
H5 H 0.6533 0.1864 0.8762
H6 H 0.8017 0.5507 0.0014
F1 F 0.0072 0.5347 0.6474
F2 F 0.0177 0.8065 0.8681
F3 F 0.1224 0.6920 0.3386
F4 F 0.1380 0.9652 0.5494
F5 F 0.1688 0.3093 0.7443
F6 F 0.1867 0.6010 0.9722
F7 F 0.2042 0.3574 0.0118
F8 F 0.2163 0.5410 0.7191
F9 F 0.2271 0.2749 0.4796
F10 F 0.2549 0.8196 0.8933
F11 F 0.2779 0.5024 0.4519
F12 F 0.2857 0.7462 0.6462
F13 F 0.3154 0.9145 0.1257
F14 F 0.3407 0.4219 0.1886
F15 F 0.3420 0.7140 0.3858
F16 F 0.3564 0.9624 0.6228
F17 F 0.3744 0.1694 0.1470
F18 F 0.3931 0.6530 0.1324
F19 F 0.4128 0.9311 0.3552
F20 F 0.4373 0.2937 0.5498
F21 F 0.4493 0.5493 0.7539
F22 F 0.5507 0.4507 0.2461
F23 F 0.5627 0.7063 0.4502
F24 F 0.5872 0.0689 0.6448
F25 F 0.6069 0.3470 0.8676
F26 F 0.6256 0.8306 0.8530
F27 F 0.6436 0.0376 0.3772
F28 F 0.6580 0.2860 0.6142
F29 F 0.6593 0.5781 0.8114
F30 F 0.6846 0.0855 0.8743
F31 F 0.7143 0.2538 0.3538
F32 F 0.7221 0.4976 0.5481
F33 F 0.7451 0.1804 0.1067
F34 F 0.7729 0.7251 0.5204
F35 F 0.7837 0.4590 0.2809
F36 F 0.7958 0.6426 0.9882
F37 F 0.8133 0.3990 0.0278
F38 F 0.8312 0.6907 0.2557
F39 F 0.8620 0.0348 0.4506
F40 F 0.8776 0.3080 0.6614
F41 F 0.9823 0.1935 0.1319
F42 F 0.9928 0.4653 0.3526
```



[2]
Structure and calculated X-ray diffraction stick pattern of CaInPd (a DFT-relaxed cell (PBE, the Materials Project); Cu Kα (weighted mean of Kα1 and Kα2)).
No peak broadening, texture or thermal motion is included.

Largest 12 diffraction maxima, by angle, 10° ≤ 2θ ≤ 90°:
Position (°2θ), d (Å), I (rel.)
15.75, 5.626, 55
22.88, 3.887, 55
23.94, 3.717, 42
31.62, 2.830, 99
33.37, 2.685, 100
37.51, 2.398, 75
37.80, 2.380, 41
39.49, 2.282, 58
41.46, 2.178, 57
42.09, 2.147, 35
43.32, 2.089, 29
67.49, 1.388, 25

Structure:
```
data_CaInPd
_chemical_formula_sum 'Ca4 In4 Pd4'
_symmetry_space_group_name_H-M 'P 1'
_symmetry_Int_Tables_number 1
_symmetry_space_group_name_Hall 'P 1'
_cell_length_a 7.4290
_cell_length_b 4.3556
_cell_length_c 8.6159
_cell_angle_alpha 90.00
_cell_angle_beta 90.00
_cell_angle_gamma 90.00
loop_
_atom_site_label
_atom_site_type_symbol
_atom_site_fract_x
_atom_site_fract_y
_atom_site_fract_z
Ca1 Ca 0.0319 0.2500 0.1775
Ca2 Ca 0.4681 0.7500 0.6775
Ca3 Ca 0.5319 0.2500 0.3225
Ca4 Ca 0.9681 0.7500 0.8225
In1 In 0.1464 0.2500 0.5623
In2 In 0.3536 0.7500 0.0623
In3 In 0.6464 0.2500 0.9377
In4 In 0.8536 0.7500 0.4377
Pd1 Pd 0.2322 0.7500 0.3711
Pd2 Pd 0.2678 0.2500 0.8711
Pd3 Pd 0.7322 0.7500 0.1289
Pd4 Pd 0.7678 0.2500 0.6289
```



[3]
Structure and calculated X-ray diffraction stick pattern of Nb6V3Ni3C2 (a DFT-relaxed cell (PBE, the Materials Project); Cu Kα (weighted mean of Kα1 and Kα2)).
No peak broadening, texture or thermal motion is included.

Largest 12 diffraction maxima, by angle, 10° ≤ 2θ ≤ 90°:
Position (°2θ), d (Å), I (rel.)
30.88, 2.896, 11
33.72, 2.658, 24
38.03, 2.366, 47
38.12, 2.361, 25
40.44, 2.231, 100
40.52, 2.226, 65
44.21, 2.048, 30
68.71, 1.366, 37
68.78, 1.365, 12
68.90, 1.363, 17
82.83, 1.165, 10
82.93, 1.164, 9

Structure:
```
data_Nb6V3Ni3C2
_chemical_formula_sum 'Nb12 V6 Ni6 C4'
_symmetry_space_group_name_H-M 'P 1'
_symmetry_Int_Tables_number 1
_symmetry_space_group_name_Hall 'P 1'
_cell_length_a 8.1939
_cell_length_b 8.1939
_cell_length_c 8.1939
_cell_angle_alpha 120.19
_cell_angle_beta 119.99
_cell_angle_gamma 89.84
loop_
_atom_site_label
_atom_site_type_symbol
_atom_site_fract_x
_atom_site_fract_y
_atom_site_fract_z
Nb1 Nb 0.0000 0.0000 0.0000
Nb2 Nb 0.2453 0.1254 0.5015
Nb3 Nb 0.2453 0.7438 0.1200
Nb4 Nb 0.2498 0.7498 0.5000
Nb5 Nb 0.3740 0.3753 0.3805
Nb6 Nb 0.3740 0.9934 0.9986
Nb7 Nb 0.3778 0.3778 0.0000
Nb8 Nb 0.6239 0.1254 0.8800
Nb9 Nb 0.6239 0.7438 0.4985
Nb10 Nb 0.6296 0.1296 0.5000
Nb11 Nb 0.9948 0.3753 0.0014
Nb12 Nb 0.9948 0.9934 0.6195
V1 V 0.0173 0.3551 0.6621
V2 V 0.3140 0.5663 0.7478
V3 V 0.6930 0.3551 0.3379
V4 V 0.8123 0.0546 0.2422
V5 V 0.8123 0.5701 0.7578
V6 V 0.8185 0.5663 0.2522
Ni1 Ni 0.0141 0.3604 0.3462
Ni2 Ni 0.0141 0.6679 0.6538
Ni3 Ni 0.6070 0.4494 0.8424
Ni4 Ni 0.6070 0.7617 0.8452
Ni5 Ni 0.6070 0.7646 0.1576
Ni6 Ni 0.9165 0.7617 0.1548
C1 C 0.3093 0.0607 0.7514
C2 C 0.3093 0.5579 0.2486
C3 C 0.3100 0.0606 0.2494
C4 C 0.8112 0.0606 0.7506
```



[4]
Structure and calculated X-ray diffraction stick pattern of Th3Si12Ru4 (a DFT-relaxed cell (PBE, the Materials Project); Cu Kα (weighted mean of Kα1 and Kα2)).
No peak broadening, texture or thermal motion is included.

Largest 12 diffraction maxima, by angle, 10° ≤ 2θ ≤ 90°:
Position (°2θ), d (Å), I (rel.)
15.79, 5.611, 14
19.12, 4.641, 33
23.42, 3.798, 50
28.82, 3.098, 17
30.37, 2.943, 30
31.90, 2.805, 14
34.41, 2.606, 37
36.16, 2.484, 100
38.81, 2.320, 16
48.74, 1.868, 19
57.81, 1.595, 31
68.52, 1.369, 14

Structure:
```
data_Th3Si12Ru4
_chemical_formula_sum 'Th6 Si24 Ru8'
_symmetry_space_group_name_H-M 'P 1'
_symmetry_Int_Tables_number 1
_symmetry_space_group_name_Hall 'P 1'
_cell_length_a 10.1692
_cell_length_b 10.1692
_cell_length_c 8.3380
_cell_angle_alpha 90.00
_cell_angle_beta 90.00
_cell_angle_gamma 48.23
loop_
_atom_site_label
_atom_site_type_symbol
_atom_site_fract_x
_atom_site_fract_y
_atom_site_fract_z
Th1 Th 0.0000 0.0000 0.0000
Th2 Th 0.0048 0.4952 0.2500
Th3 Th 0.4952 0.0048 0.7500
Th4 Th 0.5000 0.5000 0.5000
Th5 Th 0.5048 0.9952 0.2500
Th6 Th 0.9952 0.5048 0.7500
Si1 Si 0.1065 0.6570 0.4977
Si2 Si 0.1128 0.1229 0.7259
Si3 Si 0.1229 0.1128 0.2741
Si4 Si 0.1570 0.6065 0.9977
Si5 Si 0.1646 0.8354 0.6658
Si6 Si 0.2065 0.2065 0.5000
Si7 Si 0.2935 0.2935 0.0000
Si8 Si 0.3354 0.6646 0.1658
Si9 Si 0.3430 0.8935 0.4977
Si10 Si 0.3771 0.3872 0.7741
Si11 Si 0.3872 0.3771 0.2259
Si12 Si 0.3935 0.8430 0.9977
Si13 Si 0.6065 0.1570 0.0023
Si14 Si 0.6128 0.6229 0.7741
Si15 Si 0.6229 0.6128 0.2259
Si16 Si 0.6570 0.1065 0.5023
Si17 Si 0.6646 0.3354 0.8342
Si18 Si 0.7065 0.7065 0.0000
Si19 Si 0.7935 0.7935 0.5000
Si20 Si 0.8354 0.1646 0.3342
Si21 Si 0.8430 0.3935 0.0023
Si22 Si 0.8771 0.8872 0.7259
Si23 Si 0.8872 0.8771 0.2741
Si24 Si 0.8935 0.3430 0.5023
Ru1 Ru 0.1280 0.8720 0.3742
Ru2 Ru 0.1650 0.1650 0.0000
Ru3 Ru 0.3350 0.3350 0.5000
Ru4 Ru 0.3720 0.6280 0.8742
Ru5 Ru 0.6280 0.3720 0.1258
Ru6 Ru 0.6650 0.6650 0.5000
Ru7 Ru 0.8350 0.8350 0.0000
Ru8 Ru 0.8720 0.1280 0.6258
```



[5]
Structure and calculated X-ray diffraction stick pattern of MoPCl9 (a DFT-relaxed cell (PBE, the Materials Project); Cu Kα (weighted mean of Kα1 and Kα2)).
No peak broadening, texture or thermal motion is included.

Largest 12 diffraction maxima, by angle, 10° ≤ 2θ ≤ 90°:
Position (°2θ), d (Å), I (rel.)
12.01, 7.370, 28
14.47, 6.123, 48
14.83, 5.975, 93
17.29, 5.128, 100
18.54, 4.786, 32
20.87, 4.256, 50
29.91, 2.987, 30
31.22, 2.865, 48
31.66, 2.826, 53
32.11, 2.788, 55
40.28, 2.239, 32
52.84, 1.733, 27

Structure:
```
data_MoPCl9
_chemical_formula_sum 'Mo2 P2 Cl18'
_symmetry_space_group_name_H-M 'P 1'
_symmetry_Int_Tables_number 1
_symmetry_space_group_name_Hall 'P 1'
_cell_length_a 7.2336
_cell_length_b 9.2979
_cell_length_c 9.8369
_cell_angle_alpha 100.96
_cell_angle_beta 96.36
_cell_angle_gamma 95.70
loop_
_atom_site_label
_atom_site_type_symbol
_atom_site_fract_x
_atom_site_fract_y
_atom_site_fract_z
Mo1 Mo 0.1112 0.1305 0.1703
Mo2 Mo 0.8888 0.8695 0.8297
P1 P 0.4532 0.3109 0.7210
P2 P 0.5468 0.6891 0.2790
Cl1 Cl 0.0076 0.7367 0.6348
Cl2 Cl 0.0814 0.3308 0.0576
Cl3 Cl 0.1228 0.9244 0.2789
Cl4 Cl 0.2055 0.9842 0.9521
Cl5 Cl 0.2545 0.4406 0.7287
Cl6 Cl 0.3467 0.6066 0.3712
Cl7 Cl 0.3486 0.1145 0.6164
Cl8 Cl 0.4260 0.2144 0.2568
Cl9 Cl 0.4444 0.6998 0.0890
Cl10 Cl 0.5556 0.3002 0.9110
Cl11 Cl 0.5740 0.7856 0.7432
Cl12 Cl 0.6514 0.8855 0.3836
Cl13 Cl 0.6533 0.3934 0.6288
Cl14 Cl 0.7455 0.5594 0.2713
Cl15 Cl 0.7945 0.0158 0.0479
Cl16 Cl 0.8772 0.0756 0.7211
Cl17 Cl 0.9186 0.6692 0.9424
Cl18 Cl 0.9924 0.2633 0.3652
```



Q: Which formula does entry 3 have?
A: Nb6V3Ni3C2